# 1
FeCuAu: simulated powder diffraction line list (CuKα), based on a crystal structure in Alexandria, relaxed with PBE.
Kinematic intensities with the Lorentz-polarization factor, no thermal factor.

Principal peaks in the range 2θ from 5° to 70°, by angle:
2θ (°)  I (rel.)
23.87  58
33.53  7
41.57  100
41.97  81
48.85  9
54.75  12
60.55  33
66.33  8

Cell and atoms:
```
FeCuAu
1.0
4.3054 0.0000 0.0000
-2.1527 3.7286 0.0000
0.0000 0.0000 2.6730
Fe Cu Au
1 1 1
Direct
0.0000 0.0000 0.0000
0.6667 0.3333 0.7207
0.3333 0.6667 0.4033
```

=====

# 2
Ga2CuAu3: simulated powder diffraction line list (CuKα), based on a crystal structure in Alexandria, relaxed with PBE.
Kinematic intensities with the Lorentz-polarization factor, no thermal factor.

Principal peaks in the range 2θ from 5° to 70°, by angle:
2θ (°)  I (rel.)
16.49  19
29.78  25
30.49  23
35.71  100
41.88  56
42.41  55
50.48  18
52.30  17
67.99  26
69.14  25

Cell and atoms:
```
Ga2CuAu3
1.0
3.4984 0.0000 0.0000
0.0000 10.8480 0.0000
0.0000 0.0000 5.3754
Ga Cu Au
4 2 6
Direct
0.2500 0.0964 0.1452
0.2500 0.4036 0.1452
0.7500 0.5964 0.8548
0.7500 0.9036 0.8548
0.2500 0.7500 0.1318
0.7500 0.2500 0.8682
0.2500 0.0806 0.6640
0.2500 0.4194 0.6640
0.2500 0.7500 0.6321
0.7500 0.2500 0.3679
0.7500 0.5806 0.3360
0.7500 0.9194 0.3360
```

=====

# 3
Ga3Cu7Au: simulated powder diffraction line list (CuKα), based on a crystal structure in Alexandria, relaxed with PBE.
Kinematic intensities with the Lorentz-polarization factor, no thermal factor.

Principal peaks in the range 2θ from 5° to 70°, by angle:
2θ (°)  I (rel.)
15.49  29
23.39  55
31.24  74
33.05  28
36.77  66
41.49  73
42.56  100
45.39  50
48.18  60
56.63  30

Cell and atoms:
```
Ga3Cu7Au
1.0
4.1926 -4.3524 0.0000
4.1926 4.3524 0.0000
-2.1173 0.0000 4.4974
Ga Cu Au
3 7 1
Direct
0.0000 0.0000 0.0000
0.2156 0.7844 0.5000
0.7844 0.2156 0.5000
0.0584 0.5815 0.8124
0.2058 0.2058 0.5271
0.4185 0.9416 0.1876
0.5000 0.5000 0.5000
0.5815 0.0584 0.8124
0.7942 0.7942 0.4729
0.9416 0.4185 0.1876
0.5000 0.5000 0.0000
```

=====

# 4
GaCu4Au9: simulated powder diffraction line list (CuKα), based on a crystal structure in Alexandria, relaxed with PBE.
Kinematic intensities with the Lorentz-polarization factor, no thermal factor.

Principal peaks in the range 2θ from 5° to 70°, by angle:
2θ (°)  I (rel.)
33.59  44
34.28  15
34.58  14
39.39  14
40.80  100
41.36  17
42.60  18
45.80  14
68.16  16
68.87  18

Cell and atoms:
```
GaCu4Au9
1.0
7.9241 0.0000 0.0000
-3.9620 6.8624 0.0000
0.0000 0.0000 8.4888
Ga Cu Au
2 8 18
Direct
0.3333 0.6667 0.2500
0.6667 0.3333 0.7500
0.0000 0.0000 0.0000
0.0000 0.0000 0.5000
0.1054 0.2108 0.7500
0.1054 0.8946 0.7500
0.2108 0.1054 0.2500
0.7892 0.8946 0.7500
0.8946 0.1054 0.2500
0.8946 0.7892 0.2500
0.0800 0.5400 0.7500
0.2010 0.4021 0.0346
0.2010 0.4021 0.4654
0.2010 0.7990 0.0346
0.2010 0.7990 0.4654
0.4021 0.2010 0.5346
0.4021 0.2010 0.9654
0.4600 0.5400 0.7500
0.4600 0.9200 0.7500
0.5400 0.0800 0.2500
0.5400 0.4600 0.2500
0.5979 0.7990 0.0346
0.5979 0.7990 0.4654
0.7990 0.2010 0.5346
0.7990 0.2010 0.9654
0.7990 0.5979 0.5346
0.7990 0.5979 0.9654
0.9200 0.4600 0.2500
```

=====

# 5
Ga2Cu2Au3: simulated powder diffraction line list (CuKα), based on a crystal structure in Alexandria, relaxed with PBE.
Kinematic intensities with the Lorentz-polarization factor, no thermal factor.

Principal peaks in the range 2θ from 5° to 70°, by angle:
2θ (°)  I (rel.)
14.56  25
29.44  16
32.22  21
36.82  100
41.90  29
42.39  59
42.92  28
53.05  31
69.41  17
69.75  13

Cell and atoms:
```
Ga2Cu2Au3
1.0
10.7650 0.0000 0.0000
0.0000 3.4549 0.0000
-1.8510 0.0000 6.0822
Ga Cu Au
4 4 6
Direct
0.1197 0.0000 0.4286
0.3803 0.5000 0.5714
0.6197 0.5000 0.4286
0.8803 0.0000 0.5714
0.0705 0.5000 0.7096
0.4295 0.0000 0.2904
0.5705 0.0000 0.7096
0.9295 0.5000 0.2904
0.0000 0.0000 0.0000
0.2241 0.5000 0.1710
0.2759 0.0000 0.8290
0.5000 0.5000 0.0000
0.7241 0.0000 0.1710
0.7759 0.5000 0.8290
```

=====

# 6
Ga2CuAu2: simulated powder diffraction line list (CuKα), based on a crystal structure in Alexandria, relaxed with PBE.
Kinematic intensities with the Lorentz-polarization factor, no thermal factor.

Principal peaks in the range 2θ from 5° to 70°, by angle:
2θ (°)  I (rel.)
23.58  68
27.69  66
29.00  45
32.66  47
34.94  39
39.35  100
41.39  65
42.22  74
43.77  69
45.59  44

Cell and atoms:
```
Ga2CuAu2
1.0
6.1600 0.0000 0.0000
0.0000 10.2716 0.0000
-0.1082 0.0000 5.4842
Ga Cu Au
8 4 8
Direct
0.0183 0.1494 0.3249
0.0183 0.3506 0.8249
0.3704 0.6292 0.6686
0.3704 0.8708 0.1686
0.6296 0.1292 0.8314
0.6296 0.3708 0.3314
0.9817 0.6494 0.1751
0.9817 0.8506 0.6751
0.3349 0.2458 0.5729
0.3349 0.2542 0.0729
0.6651 0.7458 0.9271
0.6651 0.7542 0.4271
0.0525 0.0921 0.8100
0.0525 0.4079 0.3100
0.4057 0.5867 0.1823
0.4057 0.9133 0.6823
0.5943 0.0867 0.3177
0.5943 0.4133 0.8177
0.9475 0.5921 0.6900
0.9475 0.9079 0.1900
```

=====

# 7
GaCu5Au4: simulated powder diffraction line list (CuKα), based on a crystal structure in Alexandria, relaxed with PBE.
Kinematic intensities with the Lorentz-polarization factor, no thermal factor.

Principal peaks in the range 2θ from 5° to 70°, by angle:
2θ (°)  I (rel.)
23.95  66
31.43  33
39.83  100
39.98  96
40.09  96
40.29  97
45.22  67
45.40  68
49.04  54
68.84  38

Cell and atoms:
```
GaCu5Au4
1.0
4.6718 0.0000 0.0000
1.2035 5.3310 0.0000
1.6901 1.0523 5.9763
Ga Cu Au
1 5 4
Direct
0.0000 0.0000 0.0000
0.0000 0.5000 0.0000
0.2169 0.7873 0.6046
0.4074 0.5933 0.1930
0.5926 0.4067 0.8070
0.7831 0.2127 0.3954
0.1909 0.3006 0.6140
0.3728 0.1095 0.2035
0.6272 0.8905 0.7965
0.8091 0.6994 0.3860
```

=====

# 8
Ga2Cu5Au4: simulated powder diffraction line list (CuKα), based on a crystal structure in Alexandria, relaxed with PBE.
Kinematic intensities with the Lorentz-polarization factor, no thermal factor.

Principal peaks in the range 2θ from 5° to 70°, by angle:
2θ (°)  I (rel.)
20.30  41
24.39  35
28.33  38
37.76  80
40.23  100
40.73  78
41.68  99
42.87  83
43.64  72
63.87  30

Cell and atoms:
```
Ga2Cu5Au4
1.0
6.7268 0.0000 0.0000
0.0000 2.8400 0.0000
-0.0918 0.0000 8.7506
Ga Cu Au
2 5 4
Direct
0.0411 0.0000 0.3580
0.9589 0.0000 0.6420
0.1449 0.0000 0.0884
0.3269 0.0000 0.5632
0.5000 0.0000 0.0000
0.6731 0.0000 0.4368
0.8551 0.0000 0.9116
0.2146 0.5000 0.8319
0.3811 0.5000 0.2870
0.6189 0.5000 0.7130
0.7854 0.5000 0.1681
```

=====

# 9
Ga2CuAu8: simulated powder diffraction line list (CuKα), based on a crystal structure in Alexandria, relaxed with PBE.
Kinematic intensities with the Lorentz-polarization factor, no thermal factor.

Principal peaks in the range 2θ from 5° to 70°, by angle:
2θ (°)  I (rel.)
14.30  16
28.82  60
32.73  23
36.74  59
38.11  14
39.64  100
40.40  41
40.55  29
45.87  35
50.26  15

Cell and atoms:
```
Ga2CuAu8
1.0
6.1019 -3.6306 0.0000
6.1019 3.6306 0.0000
-1.1075 0.0000 4.6575
Ga Cu Au
2 1 8
Direct
0.1267 0.1267 0.0282
0.8733 0.8733 0.9718
0.0000 0.0000 0.5000
0.2207 0.2207 0.5974
0.2256 0.6300 0.7143
0.3542 0.3542 0.1735
0.3700 0.7744 0.2857
0.6300 0.2256 0.7143
0.6458 0.6458 0.8265
0.7744 0.3700 0.2857
0.7793 0.7793 0.4026
```

=====

# 10
Ga3Cu8Au2: simulated powder diffraction line list (CuKα), based on a crystal structure in Alexandria, relaxed with PBE.
Kinematic intensities with the Lorentz-polarization factor, no thermal factor.

Principal peaks in the range 2θ from 5° to 70°, by angle:
2θ (°)  I (rel.)
9.39  21
24.73  43
37.21  66
38.46  55
41.24  100
42.03  33
43.73  42
46.27  28
49.04  30
69.84  41

Cell and atoms:
```
Ga3Cu8Au2
1.0
2.4161 1.3949 9.4175
-2.4161 1.3949 9.4175
0.0000 -2.7899 9.4175
Ga Cu Au
3 8 2
Direct
0.0000 0.0000 0.0000
0.1839 0.1839 0.1839
0.8161 0.8161 0.8161
0.2253 0.7242 0.7242
0.2691 0.2691 0.2691
0.2758 0.2758 0.7747
0.2758 0.7747 0.2758
0.7242 0.2253 0.7242
0.7242 0.7242 0.2253
0.7309 0.7309 0.7309
0.7747 0.2758 0.2758
0.3611 0.3611 0.3611
0.6389 0.6389 0.6389
```

=====

# 11
Ga3Cu2Au4: simulated powder diffraction line list (CuKα), based on a crystal structure in Alexandria, relaxed with PBE.
Kinematic intensities with the Lorentz-polarization factor, no thermal factor.

Principal peaks in the range 2θ from 5° to 70°, by angle:
2θ (°)  I (rel.)
32.42  18
34.40  97
37.27  18
39.76  55
40.70  100
40.96  60
44.79  45
50.25  21
65.94  25
69.82  19

Cell and atoms:
```
Ga3Cu2Au4
1.0
7.4385 -4.5340 0.0000
7.4385 4.5340 0.0000
-1.0234 0.0000 4.4383
Ga Cu Au
6 4 8
Direct
0.1368 0.8632 0.7500
0.1841 0.4663 0.9228
0.4663 0.1841 0.4228
0.5337 0.8159 0.5772
0.8159 0.5337 0.0772
0.8632 0.1368 0.2500
0.0225 0.7986 0.2014
0.2014 0.9775 0.2986
0.7986 0.0225 0.7014
0.9775 0.2014 0.7986
0.1022 0.3180 0.3686
0.3140 0.5491 0.4567
0.3180 0.1022 0.8686
0.4509 0.6860 0.0433
0.5491 0.3140 0.9567
0.6820 0.8978 0.1314
0.6860 0.4509 0.5433
0.8978 0.6820 0.6314
```

=====

# 12
GaCu2Au7: simulated powder diffraction line list (CuKα), based on a crystal structure in Alexandria, relaxed with PBE.
Kinematic intensities with the Lorentz-polarization factor, no thermal factor.

Principal peaks in the range 2θ from 5° to 70°, by angle:
2θ (°)  I (rel.)
23.23  6
28.61  60
34.24  31
40.82  100
40.98  77
48.49  9
50.61  13
54.31  9
59.23  26
66.96  12

Cell and atoms:
```
GaCu2Au7
1.0
4.4207 0.0000 0.0000
-2.2104 3.8285 0.0000
0.0000 0.0000 10.7702
Ga Cu Au
1 2 7
Direct
0.0000 0.0000 0.0000
0.3333 0.6667 0.6412
0.6667 0.3333 0.3070
0.0000 0.0000 0.2469
0.0000 0.0000 0.6749
0.3333 0.6667 0.3882
0.3333 0.6667 0.9205
0.6667 0.3333 0.0704
0.6667 0.3333 0.5404
0.6667 0.3333 0.7999
```

=====

# 13
Ga2Cu4Au: simulated powder diffraction line list (CuKα), based on a crystal structure in Alexandria, relaxed with PBE.
Kinematic intensities with the Lorentz-polarization factor, no thermal factor.

Principal peaks in the range 2θ from 5° to 70°, by angle:
2θ (°)  I (rel.)
13.88  51
14.18  38
40.38  48
41.47  63
41.74  54
42.10  33
42.44  100
42.77  40
43.52  43
46.11  32

Cell and atoms:
```
Ga2Cu4Au
1.0
5.0133 0.0000 0.0000
1.0141 6.4569 0.0000
1.9826 0.9594 6.2449
Ga Cu Au
4 8 2
Direct
0.0000 0.0000 0.0000
0.0401 0.2590 0.3502
0.6032 0.0898 0.7331
0.9505 0.6491 0.7342
0.2185 0.3464 0.9244
0.2448 0.9468 0.5766
0.3997 0.7151 0.9005
0.4453 0.9989 0.1469
0.5334 0.2528 0.3648
0.5962 0.5110 0.5892
0.7012 0.3364 0.9450
0.7826 0.8941 0.4237
0.2413 0.6288 0.3451
0.8135 0.6181 0.1500
```